1.
This entry pairs a crystal structure of Pm3Ga2Ag4 with its computed powder X-ray diffraction pattern. Radiation: Cu Kα (weighted mean of Kα1 and Kα2). Structure: a crystal structure in Alexandria, relaxed with GGA-PBE.
Peak positions follow from Bragg's law for the DFT cell and can differ from measured ones.

Structural model:
a = 5.9290 Å, b = 5.9290 Å, c = 8.9246 Å
α = 113.42°, β = 113.42°, γ = 46.69°
Fractional positions:
Pm 0.0000 0.0000 0.0000
Pm 0.3403 0.3403 0.3280
Pm 0.6597 0.6597 0.6720
Ga 0.3766 0.3766 0.7073
Ga 0.6234 0.6234 0.2927
Ag 0.0747 0.0747 0.4015
Ag 0.2864 0.2864 0.9428
Ag 0.7136 0.7136 0.0572
Ag 0.9253 0.9253 0.5985

Most intense lines, 10 to 80 degrees two-theta, in order of falling intensity:
33.42 deg, intensity 100
38.08 deg, intensity 55
65.83 deg, intensity 29
38.31 deg, intensity 28
33.25 deg, intensity 20
51.59 deg, intensity 17

---

2.
This entry pairs a crystal structure of PmGa6Ag with its computed powder X-ray diffraction pattern. Radiation: Cu Kα (weighted mean of Kα1 and Kα2). Structure: a crystal structure in Alexandria, relaxed with GGA-PBE.
Peak positions follow from Bragg's law for the DFT cell and can differ from measured ones.

Structural model:
a = 4.8464 Å, b = 6.8285 Å, c = 4.7872 Å
α = 90.00°, β = 90.00°, γ = 90.00°
Fractional positions:
Pm 0.0000 0.0000 0.0000
Ga 0.0000 0.2895 0.5050
Ga 0.0000 0.5000 0.0085
Ga 0.0000 0.7105 0.5050
Ga 0.5000 0.0000 0.4489
Ga 0.5000 0.2957 0.8277
Ga 0.5000 0.7043 0.8277
Ag 0.5000 0.5000 0.3228

Most intense lines, 10 to 80 degrees two-theta, in order of falling intensity:
37.29 deg, intensity 100
37.10 deg, intensity 38
42.10 deg, intensity 31
67.02 deg, intensity 25
32.20 deg, intensity 20
29.30 deg, intensity 14

---

What is the formula in the first record?
Pm3Ga2Ag4